No. 1
For AlSnI5, the GGA-PBE geometry in Alexandria gives the simulated powder X-ray diffraction pattern in this record (Cu Ka).

Atomic structure:
a = 8.258 Å, b = 8.258 Å, c = 11.826 Å
α = 110.87°, β = 110.87°, γ = 87.37°
Element x y z (fractional)
Al (0.105, 0.895, 0.500)
Al (0.895, 0.105, 0.000)
Sn (0.491, 0.502, 0.237)
Sn (0.502, 0.491, 0.737)
I (0.145, 0.233, 0.590)
I (0.205, 0.773, 0.306)
I (0.233, 0.145, 0.090)
I (0.244, 0.794, 0.693)
I (0.398, 0.594, 0.010)
I (0.594, 0.398, 0.510)
I (0.770, 0.848, 0.420)
I (0.773, 0.205, 0.806)
I (0.794, 0.244, 0.193)
I (0.848, 0.770, 0.920)

Largest 12 diffraction maxima, sorted by position, 2θ from 5° to 70°:
16.89 deg, I = 1000
17.06 deg, I = 901
21.55 deg, I = 468
23.29 deg, I = 472
24.26 deg, I = 781
24.97 deg, I = 857
26.89 deg, I = 747
27.90 deg, I = 807
29.88 deg, I = 538
30.23 deg, I = 479
35.05 deg, I = 473
43.87 deg, I = 630

No. 2
For La6CuPt5, the GGA-PBE geometry in Alexandria gives the simulated powder X-ray diffraction pattern in this record (Cu Ka).

Atomic structure:
a = 5.542 Å, b = 7.963 Å, c = 7.969 Å
α = 102.04°, β = 105.08°, γ = 110.02°
Element x y z (fractional)
La (0.080, 0.273, 0.277)
La (0.307, 0.442, 0.762)
La (0.376, 0.918, 0.232)
La (0.624, 0.082, 0.768)
La (0.693, 0.558, 0.238)
La (0.920, 0.727, 0.723)
Cu (0.000, 0.000, 0.500)
Pt (0.000, 0.500, 0.000)
Pt (0.224, 0.142, 0.941)
Pt (0.311, 0.690, 0.499)
Pt (0.689, 0.310, 0.501)
Pt (0.776, 0.858, 0.059)

Largest 12 diffraction maxima, sorted by position, 2θ from 5° to 70°:
31.58 deg, I = 110
32.47 deg, I = 542
33.41 deg, I = 1000
35.64 deg, I = 571
35.85 deg, I = 568
36.01 deg, I = 619
49.10 deg, I = 164
49.43 deg, I = 148
50.20 deg, I = 146
63.14 deg, I = 242
64.06 deg, I = 82
64.37 deg, I = 94

No. 3
For CaUSbO6, the GGA-PBE geometry in Alexandria gives the simulated powder X-ray diffraction pattern in this record (Cu Ka).

Atomic structure:
a = 5.521 Å, b = 5.521 Å, c = 9.388 Å
α = 90.00°, β = 90.00°, γ = 120.00°
Element x y z (fractional)
Ca (0.333, 0.667, 0.250)
Ca (0.667, 0.333, 0.750)
U (0.000, 0.000, 0.000)
U (0.000, 0.000, 0.500)
Sb (0.333, 0.667, 0.750)
Sb (0.667, 0.333, 0.250)
O (0.046, 0.350, 0.628)
O (0.046, 0.696, 0.872)
O (0.304, 0.350, 0.872)
O (0.304, 0.954, 0.628)
O (0.350, 0.046, 0.128)
O (0.350, 0.304, 0.372)
O (0.650, 0.696, 0.628)
O (0.650, 0.954, 0.872)
O (0.696, 0.046, 0.372)
O (0.696, 0.650, 0.128)
O (0.954, 0.304, 0.128)
O (0.954, 0.650, 0.372)

Largest 12 diffraction maxima, sorted by position, 2θ from 5° to 70°:
18.56 deg, I = 250
20.85 deg, I = 118
26.61 deg, I = 1000
32.43 deg, I = 372
38.35 deg, I = 58
42.43 deg, I = 292
42.93 deg, I = 63
51.08 deg, I = 328
54.40 deg, I = 283
57.86 deg, I = 127
62.45 deg, I = 94
67.91 deg, I = 50